# 1
For Ba2As2Pt, a GGA-PBE-relaxed structure gives the theoretical PXRD pattern in this record (Cu Ka).
No peak broadening, texture or thermal motion is included.

Peak list (8 most intense, 2θ = 10–90°, sorted by position)
(hkl)	d (Å)	I/Imax
1 1 2	3.123	100
4 0 -2	3.004	55
3 1 -1	2.975	62
0 0 4	2.793	30
3 1 -4	2.303	68
4 0 2	2.294	35
0 2 0	2.167	40
1 1 6	1.625	42

Unit cell a=12.2789 b=4.3347 c=11.7988 alpha=90.00 beta=108.75 gamma=90.00
Space group C2/m (No. 12)
Unique sites:
Ba  0.0834  0.0000  0.3981 x4
Ba  0.1953  0.5000  0.1374 x4
As  0.0438  0.0000  0.9117 x4
As  0.1535  0.5000  0.6483 x4
Pt  0.0709  0.5000  0.8160 x4



# 2
For K3AlAg3F8, a GGA-PBE-relaxed structure gives the theoretical PXRD pattern in this record (Cu Ka).
No peak broadening, texture or thermal motion is included.

Peak list (8 most intense, 2θ = 10–90°, sorted by position)
(hkl)	d (Å)	I/Imax
0 0 3	6.025	65
0 1 2	5.197	20
0 2 1	3.128	26
2 0 2	2.997	58
0 2 4	2.599	100
2 0 8	1.841	28
2 2 0	1.834	27
0 4 2	1.566	32

Unit cell a=7.3350 b=7.3350 c=18.0762 alpha=90.00 beta=90.00 gamma=120.00
Space group R-3m (No. 166, hexagonal axes)
Unique sites:
K  0.0000  0.5000  0.0000 x9
Al  0.0000  0.0000  0.5000 x3
Ag  0.0000  0.5000  0.5000 x9
F  0.0000  0.0000  0.2472 x6
F  0.0975  0.5487  0.2269 x18



# 3
For Cr3Ni3Rh2, a GGA-PBE-relaxed structure gives the theoretical PXRD pattern in this record (Cu Ka).
No peak broadening, texture or thermal motion is included.

Peak list (8 most intense, 2θ = 10–90°, sorted by position)
(hkl)	d (Å)	I/Imax
0 0 2	7.030	9
1 1 4	2.110	100
0 2 0	1.879	17
2 0 0	1.853	17
0 0 8	1.757	13
2 2 0	1.319	10
1 3 4	1.124	12
3 1 4	1.113	11

Unit cell a=3.7069 b=3.7571 c=14.0591 alpha=90.00 beta=90.00 gamma=90.00
Space group Immm (No. 71)
Unique sites:
Cr  0.0000  0.0000  0.0000 x2
Cr  0.0000  0.5000  0.3782 x4
Ni  0.0000  0.0000  0.5000 x2
Ni  0.0000  0.5000  0.1179 x4
Rh  0.0000  0.0000  0.2514 x4